This entry pairs a crystal structure of PmSm5Ho2Sc with its calculated X-ray diffraction stick pattern. Radiation: Cu Kα, 1.54184 Å. Structure: a DFT-relaxed cell (PBE, Alexandria).
Kinematic intensities with the Lorentz-polarization factor, no thermal factor.

Top 8 peaks for 10 to 80 degrees two-theta, in order of falling intensity:
| 2θ/deg | I (rel.) | hkl |
| --- | --- | --- |
| 32.29 | 1000 | 1 5 2 |
| 31.89 | 437 | 2 0 0 |
| 30.50 | 353 | 1 1 3 |
| 26.83 | 237 | 1 3 2 |
| 57.08 | 197 | 3 5 2 |
| 27.96 | 149 | 0 6 1 |
| 61.84 | 134 | 2 6 5 |
| 34.28 | 121 | 0 0 4 |

Cell and atoms:
```
data_PmSm5Ho2Sc
_chemical_formula_sum 'Pm4 Sm20 Ho8 Sc4'
_symmetry_space_group_name_H-M 'C m c 21'
_symmetry_Int_Tables_number 36
_cell_length_a 5.6119
_cell_length_b 20.1081
_cell_length_c 10.4643
_cell_angle_alpha 90.00
_cell_angle_beta 90.00
_cell_angle_gamma 90.00
loop_
_symmetry_equiv_pos_as_xyz
'x,y,z'
'-x,-y,z+1/2'
'-x,y,z'
'x,-y,z+1/2'
'x+1/2,y+1/2,z'
'-x+1/2,-y+1/2,z+1/2'
'-x+1/2,y+1/2,z'
'x+1/2,-y+1/2,z+1/2'
loop_
_atom_site_label
_atom_site_type_symbol
_atom_site_fract_x
_atom_site_fract_y
_atom_site_fract_z
Pm1 Pm 0.0000 0.0906 0.0000
Sm1 Sm 0.0000 0.0165 0.2843
Sm2 Sm 0.0000 0.1245 0.5622
Sm3 Sm 0.0000 0.2015 0.2493
Sm4 Sm 0.0000 0.2237 0.8640
Sm5 Sm 0.0000 0.4827 0.5585
Ho1 Ho 0.0000 0.3849 0.2794
Ho2 Ho 0.0000 0.3874 0.8536
Sc1 Sc 0.0000 0.3052 0.5576
```